Starting from a cell relaxed with PBE, the powder diffractogram of Zr2In3 was computed for Cu Ka.

```
data_Zr2In3
_chemical_formula_sum 'Zr16 In24'
_cell_length_a 6.868
_cell_length_b 6.868
_cell_length_c 20.734
_cell_angle_alpha 90.00
_cell_angle_beta 90.00
_cell_angle_gamma 90.00
_symmetry_space_group_name_H-M 'I 41/a m d'
_symmetry_Int_Tables_number 141
loop_
_symmetry_equiv_pos_as_xyz
'x,y,z'
'-x,-y,-z'
'-y+1/4,x+3/4,z+1/4'
'y+1/4,-x+3/4,-z+1/4'
'-x+1/2,-y,z+1/2'
'x+1/2,y,-z+1/2'
'y+1/4,-x+1/4,z+3/4'
'-y+1/4,x+1/4,-z+3/4'
'x,-y,-z'
'-x,y,z'
'-y+1/4,-x+1/4,-z+3/4'
'y+1/4,x+1/4,z+3/4'
'-x+1/2,y,-z+1/2'
'x+1/2,-y,z+1/2'
'y+1/4,x+3/4,-z+1/4'
'-y+1/4,-x+3/4,z+1/4'
'x+1/2,y+1/2,z+1/2'
'-x+1/2,-y+1/2,-z+1/2'
'-y+3/4,x+1/4,z+3/4'
'y+3/4,-x+1/4,-z+3/4'
'-x,-y+1/2,z'
'x,y+1/2,-z'
'y+3/4,-x+3/4,z+1/4'
'-y+3/4,x+3/4,-z+1/4'
'x+1/2,-y+1/2,-z+1/2'
'-x+1/2,y+1/2,z+1/2'
'-y+3/4,-x+3/4,-z+1/4'
'y+3/4,x+3/4,z+1/4'
'-x,y+1/2,-z'
'x,-y+1/2,z'
'y+3/4,x+1/4,-z+3/4'
'-y+3/4,-x+1/4,z+3/4'
loop_
_atom_site_label
_atom_site_fract_x
_atom_site_fract_y
_atom_site_fract_z
_atom_site_occupancy
Zr1 0.000 0.018 0.163 1
In1 0.000 0.000 0.000 1
In2 0.000 0.032 0.321 1
```

Peak list (12 most intense, 2θ from 10° to 80°, sorted by position)
d_spacing, I/Imax
4.872, 13
3.260, 11
3.038, 12
2.807, 7
2.720, 12
2.436, 100
2.428, 52
1.717, 16
1.602, 9
1.408, 12
1.403, 28
1.218, 8